For NaMn2Mo2H3O10, the PBE+U geometry in Alexandria gives the theoretical powder XRD pattern in this record (Cu Kα X-rays).

Cell and atoms:
abc: 10.346 8.093 7.680
angles: 90.00 130.10 90.00
Space group C2 (No. 5)
Inequivalent atoms, fractional coordinates:
Na1 0.000 0.000 0.000
Mn1 0.223 0.864 0.589
Mo1 0.084 0.589 0.824
H1 0.000 0.094 0.500
H2 0.051 0.038 0.735
O1 0.043 0.767 0.234
O2 0.058 0.427 0.354
O3 0.060 0.070 0.407
O4 0.208 0.516 0.111
O5 0.223 0.649 0.763

The 10 most intense peaks (10° ≤ 2θ ≤ 80°), most intense first:
| 2θ/deg | intensity | hkl |
| --- | --- | --- |
| 15.7 | 100 | 1 1 0 |
| 27.0 | 62 | 1 1 -2 |
| 28.9 | 56 | 3 1 -1 |
| 28.0 | 44 | 2 2 -1 |
| 26.4 | 44 | 1 1 1 |
| 26.8 | 38 | 0 2 1 |
| 23.4 | 34 | 2 0 -2 |
| 29.4 | 28 | 3 1 -2 |
| 22.0 | 25 | 0 2 0 |
| 41.4 | 25 | 1 3 1 |